Starting from the GGA-PBE geometry in Alexandria, the PXRD pattern of Er8Ni2Ag was computed for copper Kα.

```
Er8Ni2Ag
1.0
4.1673 -6.4376 0.0000
4.1673 6.4376 0.0000
-1.4106 0.0000 5.2779
Er Ni Ag
8 2 1
direct
0.0754 0.3337 0.5880
0.2400 0.7600 0.0000
0.3337 0.0754 0.5880
0.3806 0.3806 0.1910
0.6194 0.6194 0.8090
0.6663 0.9246 0.4120
0.7600 0.2400 0.0000
0.9246 0.6663 0.4120
0.3038 0.6962 0.5000
0.6962 0.3038 0.5000
0.0000 0.0000 0.0000
```

Most intense lines, 2θ from 10° to 90°, by angle:
| 2theta | intensity |
| --- | --- |
| 27.26 | 26 |
| 30.68 | 24 |
| 31.23 | 79 |
| 32.58 | 100 |
| 33.62 | 59 |
| 34.04 | 82 |
| 35.71 | 72 |
| 39.26 | 33 |
| 39.60 | 31 |
| 54.30 | 30 |